Starting from a DFT-relaxed cell (GGA-PBE, Alexandria), the powder XRD pattern of Ac3S3O was computed for a wavelength of 1.5418 Å.
Kinematic intensities with the Lorentz-polarization factor, no thermal factor.

Most intense lines, 2θ from 5° to 70°, by angle:
two_theta  I (rel.)
25.36  1000
25.63  556
26.17  747
30.92  247
36.74  273
49.92  294

Cell and atoms:
Cell lengths 12.2955, 4.2783, 13.6375 Å; angles 90.00, 90.00, 90.00 degrees
Positions (direct):
Ac1 0.0367 0.2500 0.1540
Ac2 0.1025 0.2500 0.6112
Ac3 0.2423 0.2500 0.8712
Ac4 0.2577 0.7500 0.3712
Ac5 0.3975 0.7500 0.1112
Ac6 0.4633 0.7500 0.6540
Ac7 0.5367 0.2500 0.3460
Ac8 0.6025 0.2500 0.8888
Ac9 0.7423 0.2500 0.6288
Ac10 0.7577 0.7500 0.1288
Ac11 0.8975 0.7500 0.3888
Ac12 0.9633 0.7500 0.8460
S1 0.0706 0.2500 0.3860
S2 0.1476 0.7500 0.0074
S3 0.2266 0.7500 0.7150
S4 0.2734 0.2500 0.2150
S5 0.3524 0.2500 0.5074
S6 0.4294 0.7500 0.8860
S7 0.5706 0.2500 0.1140
S8 0.6476 0.7500 0.4926
S9 0.7266 0.7500 0.7850
S10 0.7734 0.2500 0.2850
S11 0.8524 0.2500 0.9926
S12 0.9294 0.7500 0.6140
O1 0.0512 0.2500 0.8030
O2 0.4488 0.7500 0.3030
O3 0.5512 0.2500 0.6970
O4 0.9488 0.7500 0.1970

***

Starting from a DFT-relaxed cell (GGA-PBE, Alexandria), the powder XRD pattern of AcS3O12 was computed for a wavelength of 1.5418 Å.
Kinematic intensities with the Lorentz-polarization factor, no thermal factor.

Most intense lines, 2θ from 5° to 70°, by angle:
two_theta  I (rel.)
13.06  1000
18.51  186
26.29  244
29.46  336
32.35  175
39.90  274

Cell and atoms:
Cell lengths 9.5908, 9.5908, 9.5908 Å; angles 59.95, 59.95, 59.95 degrees
Positions (direct):
Ac1 0.0000 0.0000 0.0000
Ac2 0.5000 0.5000 0.5000
S1 0.2487 0.7500 0.2513
S2 0.2500 0.7487 0.7513
S3 0.2513 0.2487 0.7500
S4 0.7487 0.7513 0.2500
S5 0.7500 0.2513 0.2487
S6 0.7513 0.2500 0.7487
O1 0.0951 0.9036 0.2742
O2 0.0964 0.7258 0.9049
O3 0.0979 0.2722 0.7265
O4 0.2258 0.5964 0.4049
O5 0.2265 0.7722 0.5979
O6 0.2278 0.4021 0.7735
O7 0.2722 0.7265 0.0979
O8 0.2742 0.0951 0.9036
O9 0.2735 0.9021 0.7278
O10 0.4021 0.7735 0.2278
O11 0.4036 0.5951 0.7742
O12 0.4049 0.2258 0.5964
O13 0.5951 0.7742 0.4036
O14 0.5964 0.4049 0.2258
O15 0.5979 0.2265 0.7722
O16 0.7265 0.0979 0.2722
O17 0.7258 0.9049 0.0964
O18 0.7278 0.2735 0.9021
O19 0.7722 0.5979 0.2265
O20 0.7735 0.2278 0.4021
O21 0.7742 0.4036 0.5951
O22 0.9021 0.7278 0.2735
O23 0.9036 0.2742 0.0951
O24 0.9049 0.0964 0.7258

***

Starting from a DFT-relaxed cell (GGA-PBE, Alexandria), the powder XRD pattern of Ac2SeS2O2 was computed for a wavelength of 1.5418 Å.
Kinematic intensities with the Lorentz-polarization factor, no thermal factor.

Most intense lines, 2θ from 5° to 70°, by angle:
two_theta  I (rel.)
7.46  811
25.63  1000
28.82  656
39.24  266
43.10  335
52.72  260

Cell and atoms:
Cell lengths 4.1974, 4.1974, 11.8459 Å; angles 90.00, 90.00, 120.00 degrees
Positions (direct):
Ac1 0.3333 0.6667 0.1356
Ac2 0.6667 0.3333 0.8644
Se1 0.0000 0.0000 0.5000
S1 0.0000 0.0000 0.3018
S2 0.0000 0.0000 0.6982
O1 0.3333 0.6667 0.9223
O2 0.6667 0.3333 0.0777

***

Starting from a DFT-relaxed cell (GGA-PBE, Alexandria), the powder XRD pattern of Ac4Sb6O19 was computed for a wavelength of 1.5418 Å.
Kinematic intensities with the Lorentz-polarization factor, no thermal factor.

Most intense lines, 2θ from 5° to 70°, by angle:
two_theta  I (rel.)
22.52  1000
22.62  462
22.75  559
29.07  697
29.37  508
29.63  709

Cell and atoms:
Cell lengths 8.3183, 8.3270, 8.3481 Å; angles 109.31, 110.37, 108.51 degrees
Positions (direct):
Ac1 0.0000 0.0000 0.0000
Ac2 0.0047 0.7169 0.3165
Ac3 0.3098 0.6915 0.0014
Ac4 0.7105 0.3805 0.6873
Sb1 0.1496 0.2135 0.6785
Sb2 0.3341 0.5254 0.5007
Sb3 0.4899 0.0262 0.8293
Sb4 0.5066 0.3517 0.1724
Sb5 0.6548 0.8448 0.5006
Sb6 0.8448 0.1631 0.3238
O1 0.0100 0.7010 0.0008
O2 0.0152 0.3907 0.7425
O3 0.0540 0.3748 0.2916
O4 0.2718 0.3380 0.9799
O5 0.2960 0.7332 0.6783
O6 0.3154 0.0422 0.6147
O7 0.3557 0.6866 0.3616
O8 0.3574 0.0484 0.0007
O9 0.3638 0.3094 0.3235
O10 0.3918 0.4554 0.7112
O11 0.6020 0.9860 0.3584
O12 0.6344 0.6849 0.6399
O13 0.6355 0.3260 0.0008
O14 0.6366 0.6422 0.2637
O15 0.6685 0.9842 0.0224
O16 0.6899 0.0637 0.7380
O17 0.7356 0.3893 0.3869
O18 0.9380 0.9330 0.6420
O19 0.9594 0.9653 0.2599

***

Starting from a DFT-relaxed cell (GGA-PBE, Alexandria), the powder XRD pattern of AcSbO6 was computed for a wavelength of 1.5418 Å.
Kinematic intensities with the Lorentz-polarization factor, no thermal factor.

Most intense lines, 2θ from 5° to 70°, by angle:
two_theta  I (rel.)
24.81  1000
27.52  759
37.39  297
43.70  218
45.39  581
62.93  217

Cell and atoms:
Cell lengths 4.8566, 4.8566, 4.8566 Å; angles 95.29, 95.29, 95.29 degrees
Positions (direct):
Ac1 0.0000 0.0000 0.0000
Sb1 0.5000 0.5000 0.5000
O1 0.2073 0.2073 0.5757
O2 0.2073 0.5757 0.2073
O3 0.4243 0.7927 0.7927
O4 0.5757 0.2073 0.2073
O5 0.7927 0.4243 0.7927
O6 0.7927 0.7927 0.4243

***

Starting from a DFT-relaxed cell (GGA-PBE, Alexandria), the powder XRD pattern of AcSnSbO was computed for a wavelength of 1.5418 Å.
Kinematic intensities with the Lorentz-polarization factor, no thermal factor.

Most intense lines, 2θ from 5° to 70°, by angle:
two_theta  I (rel.)
21.15  229
29.65  1000
35.52  423
45.53  186
48.52  191
60.21  282

Cell and atoms:
Cell lengths 3.5743, 3.5743, 16.7997 Å; angles 90.00, 90.00, 90.00 degrees
Positions (direct):
Ac1 0.0000 0.0000 0.0000
Ac2 0.5000 0.5000 0.5000
Sn1 0.0000 0.0000 0.2896
Sn2 0.5000 0.5000 0.7896
Sb1 0.0000 0.0000 0.6736
Sb2 0.5000 0.5000 0.1736
O1 0.0000 0.0000 0.4804
O2 0.5000 0.5000 0.9804

***

Starting from a DFT-relaxed cell (GGA-PBE, Alexandria), the powder XRD pattern of AcTa2SbO7 was computed for a wavelength of 1.5418 Å.
Kinematic intensities with the Lorentz-polarization factor, no thermal factor.

Most intense lines, 2θ from 5° to 70°, by angle:
two_theta  I (rel.)
7.70  486
27.68  1000
32.52  376
45.65  186
46.65  193
55.11  303

Cell and atoms:
Cell lengths 3.8937, 3.8937, 11.4879 Å; angles 90.00, 90.00, 90.00 degrees
Positions (direct):
Ac1 0.0000 0.0000 0.0000
Ta1 0.5000 0.5000 0.2095
Ta2 0.5000 0.5000 0.7905
Sb1 0.0000 0.0000 0.5000
O1 0.0000 0.5000 0.1710
O2 0.0000 0.5000 0.8290
O3 0.5000 0.0000 0.1710
O4 0.5000 0.0000 0.8290
O5 0.5000 0.5000 0.0000
O6 0.5000 0.5000 0.3672
O7 0.5000 0.5000 0.6328

***

Starting from a DFT-relaxed cell (GGA-PBE, Alexandria), the powder XRD pattern of AcTb2SbO8 was computed for a wavelength of 1.5418 Å.
Kinematic intensities with the Lorentz-polarization factor, no thermal factor.

Most intense lines, 2θ from 5° to 70°, by angle:
two_theta  I (rel.)
25.88  1000
26.64  892
28.36  744
30.23  667
31.30  455
31.93  399

Cell and atoms:
Cell lengths 4.3878, 5.3720, 7.4272 Å; angles 93.78, 91.01, 91.60 degrees
Positions (direct):
Ac1 0.0000 0.0000 0.0000
Tb1 0.4625 0.4666 0.7386
Tb2 0.5375 0.5334 0.2614
Sb1 0.0000 0.0000 0.5000
O1 0.0704 0.7412 0.2908
O2 0.1619 0.7969 0.6934
O3 0.3629 0.2320 0.4637
O4 0.4600 0.2698 0.0022
O5 0.5400 0.7302 0.9978
O6 0.6371 0.7680 0.5363
O7 0.8381 0.2031 0.3066
O8 0.9296 0.2588 0.7092

***

Starting from a DFT-relaxed cell (GGA-PBE, Alexandria), the powder XRD pattern of AcThSbO2 was computed for a wavelength of 1.5418 Å.
Kinematic intensities with the Lorentz-polarization factor, no thermal factor.

Most intense lines, 2θ from 5° to 70°, by angle:
two_theta  I (rel.)
22.60  118
29.63  1000
30.69  431
43.96  207
51.89  191
53.91  384

Cell and atoms:
Cell lengths 4.1195, 4.1195, 13.2760 Å; angles 90.00, 90.00, 90.00 degrees
Positions (direct):
Ac1 0.0000 0.0000 0.0000
Ac2 0.5000 0.5000 0.5000
Th1 0.0000 0.0000 0.3024
Th2 0.5000 0.5000 0.8024
Sb1 0.0000 0.0000 0.6551
Sb2 0.5000 0.5000 0.1551
O1 0.0000 0.5000 0.3881
O2 0.0000 0.5000 0.8881
O3 0.5000 0.0000 0.3881
O4 0.5000 0.0000 0.8881

***

Starting from a DFT-relaxed cell (GGA-PBE, Alexandria), the powder XRD pattern of AcTlSbO6 was computed for a wavelength of 1.5418 Å.
Kinematic intensities with the Lorentz-polarization factor, no thermal factor.

Most intense lines, 2θ from 5° to 70°, by angle:
two_theta  I (rel.)
24.78  1000
31.84  441
40.76  265
47.01  419
52.63  261
56.73  132

Cell and atoms:
Cell lengths 5.6214, 5.6214, 10.6517 Å; angles 90.00, 90.00, 120.00 degrees
Positions (direct):
Ac1 0.0000 0.0000 0.0000
Ac2 0.0000 0.0000 0.5000
Tl1 0.3333 0.6667 0.2500
Tl2 0.6667 0.3333 0.7500
Sb1 0.3333 0.6667 0.7500
Sb2 0.6667 0.3333 0.2500
O1 0.0335 0.3811 0.6411
O2 0.0335 0.6524 0.8589
O3 0.3476 0.3811 0.8589
O4 0.3476 0.9665 0.6411
O5 0.3811 0.0335 0.1411
O6 0.3811 0.3476 0.3589
O7 0.6189 0.6524 0.6411
O8 0.6189 0.9665 0.8589
O9 0.6524 0.0335 0.3589
O10 0.6524 0.6189 0.1411
O11 0.9665 0.3476 0.1411
O12 0.9665 0.6189 0.3589